For Ba3SrY8Cu4O20, a crystal structure in the Materials Project, relaxed with GGA-PBE gives the simulated X-ray powder pattern in this record (λ = 1.5418 Å (Cu Kα)).
No peak broadening, texture or thermal motion is included.

Atomic structure:
```
data_Ba3SrY8Cu4O20
_symmetry_space_group_name_H-M 'P 1 m 1'
_symmetry_Int_Tables_number 6
_cell_length_a 7.236
_cell_length_b 5.696
_cell_length_c 12.221
_cell_angle_alpha 90.00
_cell_angle_beta 90.11
_cell_angle_gamma 90.00
loop_
_symmetry_equiv_pos_as_xyz
'x,y,z'
'x,-y,z'
loop_
_atom_site_label
_atom_site_type_symbol
_atom_site_fract_x
_atom_site_fract_y
_atom_site_fract_z
_atom_site_occupancy
Ba1 Ba 0.000 0.000 0.000 1
Ba2 Ba 0.139 0.500 0.810 1
Ba3 Ba 0.638 0.000 0.499 1
Sr1 Sr 0.495 0.500 0.313 1
Y1 Y 0.175 0.000 0.331 1
Y2 Y 0.182 0.000 0.617 1
Y3 Y 0.457 0.000 0.119 1
Y4 Y 0.465 0.000 0.831 1
Y5 Y 0.672 0.500 0.980 1
Y6 Y 0.682 0.500 0.691 1
Y7 Y 0.955 0.500 0.193 1
Y8 Y 0.964 0.500 0.478 1
Cu1 Cu 0.290 0.500 0.068 1
Cu2 Cu 0.351 0.500 0.565 1
Cu3 Cu 0.787 0.000 0.245 1
Cu4 Cu 0.851 0.000 0.743 1
O1 O 0.152 0.000 0.805 1
O2 O 0.219 0.257 0.180 1
O3 O 0.233 0.257 0.472 1
O4 O 0.406 0.256 0.973 1
O5 O 0.424 0.254 0.677 1
O6 O 0.488 0.000 0.306 1
O7 O 0.647 0.500 0.498 1
O8 O 0.713 0.248 0.135 1
O9 O 0.732 0.244 0.837 1
O10 O 0.908 0.243 0.337 1
O11 O 0.923 0.247 0.632 1
O12 O 0.985 0.500 0.005 1
```

Top 10 peaks for 2θ = 5–70°, in order of rising 2θ:
2θ 29.7, I = 100, (1 1 3)
2θ 30.2, I = 65, (2 1 -1)
2θ 31.4, I = 47, (0 2 0)
2θ 31.8, I = 21, (1 0 -4)
2θ 32.8, I = 19, (2 1 -2)
2θ 40.2, I = 20, (3 0 2)
2θ 45.3, I = 36, (1 2 -4)
2θ 51.9, I = 18, (3 2 2)
2θ 54.8, I = 17, (1 3 3)
2θ 61.1, I = 14, (2 1 -7)